Record 1
Computed powder X-ray diffraction pattern of Ho8Co2Sn for Cu Kα (weighted mean of Kα1 and Kα2), from DFT lattice parameters and positions (PBE).

Crystal structure
```
data_Ho8Co2Sn
_cell_length_a 8.594
_cell_length_b 13.052
_cell_length_c 5.280
_cell_angle_alpha 90.00
_cell_angle_beta 103.57
_cell_angle_gamma 90.00
_symmetry_space_group_name_H-M 'C 1 2/m 1'
_symmetry_Int_Tables_number 12
_symmetry_space_group_name_Hall '-C 2y'
loop_
_atom_site_label
_atom_site_type_symbol
_atom_site_fract_x
_atom_site_fract_y
_atom_site_fract_z
_atom_site_occupancy
Ho1 Ho 0.000 0.250 0.000 1
Ho2 Ho 0.110 0.000 0.800 1
Ho3 Ho 0.200 0.369 0.573 1
Co1 Co 0.000 0.193 0.500 1
Sn1 Sn 0.000 0.500 0.000 1
```

Peak list (10 most intense, 15 to 90 degrees two-theta, by angle)
(1 3 -1), d 3.259, 2θ = 27.4°, I = 31
(2 0 1), d 2.922, 2θ = 30.6°, I = 79
(0 4 1), d 2.754, 2θ = 32.5°, I = 100
(3 1 -1), d 2.673, 2θ = 33.5°, I = 66
(1 1 -2), d 2.581, 2θ = 34.8°, I = 46
(2 4 0), d 2.571, 2θ = 34.9°, I = 90
(3 3 0), d 2.345, 2θ = 38.4°, I = 33
(1 5 -1), d 2.304, 2θ = 39.1°, I = 33
(2 4 2), d 1.698, 2θ = 54.0°, I = 31
(2 8 1), d 1.424, 2θ = 65.5°, I = 25

---

Record 2
Computed powder X-ray diffraction pattern of Ca2SN2 for Cu Kα (weighted mean of Kα1 and Kα2), from DFT lattice parameters and positions (PBE).

Crystal structure
```
data_Ca2SN2
_cell_length_a 13.782
_cell_length_b 3.943
_cell_length_c 6.813
_cell_angle_alpha 90.00
_cell_angle_beta 106.12
_cell_angle_gamma 90.00
_symmetry_space_group_name_H-M 'C 1 2/c 1'
_symmetry_Int_Tables_number 15
_symmetry_space_group_name_Hall '-C 2yc'
loop_
_atom_site_label
_atom_site_type_symbol
_atom_site_fract_x
_atom_site_fract_y
_atom_site_fract_z
_atom_site_occupancy
Ca1 Ca 0.125 0.244 0.155 1
S1 S 0.000 0.257 0.750 1
N1 N 0.224 0.165 0.543 1
```

Peak list (10 most intense, 15 to 90 degrees two-theta, by angle)
(3 1 -1), d 2.889, 2θ = 31.0°, I = 100
(2 0 2), d 2.655, 2θ = 33.8°, I = 42
(6 0 -2), d 2.123, 2θ = 42.6°, I = 14
(0 2 0), d 1.971, 2θ = 46.0°, I = 14
(1 1 -3), d 1.958, 2θ = 46.4°, I = 22
(5 1 1), d 1.953, 2θ = 46.5°, I = 29
(3 1 -3), d 1.931, 2θ = 47.1°, I = 8
(2 2 2), d 1.583, 2θ = 58.3°, I = 11
(6 2 -2), d 1.445, 2θ = 64.5°, I = 7
(8 2 0), d 1.268, 2θ = 74.9°, I = 8